Entry 1:
PmSn3Pd5: simulated X-ray powder pattern (a wavelength of 1.5418 Å), based on a DFT-relaxed cell (GGA-PBE, Alexandria).

Most intense lines, 2θ = 10–80°, most intense first:
| two_theta | intensity | (hkl) |
| --- | --- | --- |
| 41.23 | 1000 | 1 5 2 |
| 35.43 | 861 | 1 1 4 |
| 45.85 | 569 | 2 0 0 |
| 41.88 | 555 | 0 4 5 |
| 30.67 | 525 | 1 1 3 |
| 40.83 | 516 | 1 1 5 |
| 32.26 | 481 | 1 3 2 |
| 39.51 | 404 | 1 5 1 |
| 12.42 | 328 | 0 2 0 |
| 63.83 | 313 | 2 4 5 |
| 30.11 | 294 | 1 3 1 |
| 43.00 | 281 | 0 6 3 |

Cell and atoms:
Unit cell a=3.958 b=14.258 c=13.558 alpha=90.00 beta=90.00 gamma=90.00
Space group Cmcm (No. 63)
Asymmetric unit:
Pm1 0.000 0.097 0.250 [4 per cell]
Sn1 0.000 0.140 0.750 [4 per cell]
Sn2 0.000 0.378 0.547 [8 per cell]
Pd1 0.000 0.000 0.000 [4 per cell]
Pd2 0.000 0.196 0.565 [8 per cell]
Pd3 0.000 0.453 0.147 [8 per cell]

=====

Entry 2:
Pm3Zn2SnPd9: simulated X-ray powder pattern (a wavelength of 1.5418 Å), based on a DFT-relaxed cell (GGA-PBE, Alexandria).

Most intense lines, 2θ = 10–80°, most intense first:
| two_theta | intensity | (hkl) |
| --- | --- | --- |
| 39.67 | 1000 | 2 0 2 |
| 37.34 | 613 | 0 2 1 |
| 22.48 | 380 | 0 0 3 |
| 48.05 | 314 | 0 2 4 |
| 23.49 | 264 | 1 0 2 |
| 65.77 | 263 | 2 2 0 |
| 39.05 | 224 | 1 1 3 |
| 42.28 | 201 | 0 1 5 |
| 19.54 | 169 | 1 0 1 |
| 28.97 | 130 | 0 1 3 |
| 79.62 | 128 | 0 4 2 |
| 63.57 | 117 | 1 2 5 |

Cell and atoms:
Unit cell a=5.6797 b=5.6797 c=11.8665 alpha=90.00 beta=90.00 gamma=120.00
Space group P-3m1 (No. 164)
Asymmetric unit:
Pm1 0.0000 0.0000 0.0000 [1 per cell]
Pm2 0.3333 0.6667 0.7625 [2 per cell]
Zn1 0.3333 0.6667 0.1624 [2 per cell]
Sn1 0.0000 0.0000 0.5000 [1 per cell]
Pd1 0.0000 0.5000 0.0000 [3 per cell]
Pd2 0.1671 0.3343 0.3242 [6 per cell]

=====

Entry 3:
Tb5Pm2Pd4: simulated X-ray powder pattern (a wavelength of 1.5418 Å), based on a DFT-relaxed cell (GGA-PBE, Alexandria).

Most intense lines, 2θ = 10–80°, most intense first:
| two_theta | intensity | (hkl) |
| --- | --- | --- |
| 30.15 | 1000 | 3 1 1 |
| 30.98 | 967 | 8 0 -1 |
| 36.45 | 887 | 1 1 2 |
| 34.93 | 564 | 6 0 2 |
| 37.34 | 476 | 7 1 -1 |
| 24.79 | 453 | 1 1 0 |
| 50.28 | 410 | 0 2 0 |
| 43.79 | 400 | 9 1 1 |
| 39.90 | 329 | 2 0 -3 |
| 26.73 | 316 | 2 0 -2 |
| 60.24 | 289 | 8 2 -1 |
| 30.49 | 289 | 5 1 0 |

Cell and atoms:
Unit cell a=24.897 b=3.630 c=6.836 alpha=90.00 beta=93.03 gamma=90.00
Space group C2/m (No. 12)
Asymmetric unit:
Tb1 0.000 0.000 0.000 [2 per cell]
Tb2 0.134 0.500 0.183 [4 per cell]
Tb3 0.236 0.500 0.751 [4 per cell]
Pm1 0.092 0.500 0.674 [4 per cell]
Pd1 0.026 0.500 0.313 [4 per cell]
Pd2 0.173 0.000 0.491 [4 per cell]